1.
Simulated powder diffractogram of HoTiFe11C for Cu Kα, from DFT lattice parameters and positions (GGA-PBE).

Main lines, low angle first (2θ from 15° to 90°):
2θ (°)  intensity
29.87  28
36.67  17
42.44  22
42.64  100
42.96  59
48.24  17

```
data_HoTiFe11C
_cell_length_a 6.4819
_cell_length_b 6.4819
_cell_length_c 6.4819
_cell_angle_alpha 136.09
_cell_angle_beta 97.82
_cell_angle_gamma 98.25
_space_group_name_H-M_alt 'P 1'
_space_group_IT_number 1
loop_
_space_group_symop_operation_xyz
'x,y,z'
loop_
_atom_site_label
_atom_site_type_symbol
_atom_site_fract_x
_atom_site_fract_y
_atom_site_fract_z
_atom_site_occupancy
Ho1 Ho 0.0000 0.0000 0.0000 1
Ti1 Ti 0.3710 0.3710 0.0000 1
Fe1 Fe 0.0037 0.0047 0.4976 1
Fe2 Fe 0.0037 0.5061 0.9990 1
Fe3 Fe 0.2279 0.7279 0.5000 1
Fe4 Fe 0.2290 0.5084 0.7206 1
Fe5 Fe 0.3648 0.0066 0.3582 1
Fe6 Fe 0.5071 0.0047 0.0010 1
Fe7 Fe 0.5071 0.5061 0.5024 1
Fe8 Fe 0.6484 0.0066 0.6418 1
Fe9 Fe 0.6498 0.6498 0.0000 1
Fe10 Fe 0.7828 0.2828 0.5000 1
Fe11 Fe 0.7878 0.5084 0.2794 1
C1 C 0.0048 0.5048 0.5000 1
```

---

2.
Simulated powder diffractogram of In2AsP for Cu Kα, from DFT lattice parameters and positions (GGA-PBE).

Main lines, low angle first (2θ from 15° to 90°):
2θ (°)  intensity
25.37  100
42.03  67
49.73  46
67.10  18
76.80  22
82.42  14

```
data_In2AsP
_cell_length_a 7.4499
_cell_length_b 7.4499
_cell_length_c 7.4499
_cell_angle_alpha 33.54
_cell_angle_beta 33.54
_cell_angle_gamma 33.54
_space_group_name_H-M_alt 'P 1'
_space_group_IT_number 1
loop_
_space_group_symop_operation_xyz
'x,y,z'
loop_
_atom_site_label
_atom_site_type_symbol
_atom_site_fract_x
_atom_site_fract_y
_atom_site_fract_z
_atom_site_occupancy
In1 In 0.0000 0.0000 0.0000 1
In2 In 0.4953 0.4953 0.4953 1
As1 As 0.6223 0.6223 0.6223 1
P1 P 0.1227 0.1227 0.1227 1
```

---

3.
Simulated powder diffractogram of Sm3Sc for Cu Kα, from DFT lattice parameters and positions (GGA-PBE).

Main lines, low angle first (2θ from 15° to 90°):
2θ (°)  intensity
28.66  24
31.59  25
32.81  100
50.77  19
57.03  20
61.04  22

```
data_Sm3Sc
_cell_length_a 7.1929
_cell_length_b 7.1929
_cell_length_c 5.6653
_cell_angle_alpha 90.00
_cell_angle_beta 90.00
_cell_angle_gamma 120.00
_space_group_name_H-M_alt 'P 1'
_space_group_IT_number 1
loop_
_space_group_symop_operation_xyz
'x,y,z'
loop_
_atom_site_label
_atom_site_type_symbol
_atom_site_fract_x
_atom_site_fract_y
_atom_site_fract_z
_atom_site_occupancy
Sm1 Sm 0.1695 0.3390 0.2500 1
Sm2 Sm 0.1695 0.8305 0.2500 1
Sm3 Sm 0.3390 0.1695 0.7500 1
Sm4 Sm 0.6610 0.8305 0.2500 1
Sm5 Sm 0.8305 0.1695 0.7500 1
Sm6 Sm 0.8305 0.6610 0.7500 1
Sc1 Sc 0.3333 0.6667 0.7500 1
Sc2 Sc 0.6667 0.3333 0.2500 1
```

---

4.
Simulated powder diffractogram of Tb2MgTi2S2O5 for Cu Kα, from DFT lattice parameters and positions (GGA-PBE).

Main lines, low angle first (2θ from 15° to 90°):
2θ (°)  intensity
25.70  100
32.36  92
36.25  68
40.58  52
43.05  52
46.42  54

```
data_Tb2MgTi2S2O5
_cell_length_a 11.5459
_cell_length_b 11.5459
_cell_length_c 11.5459
_cell_angle_alpha 160.49
_cell_angle_beta 160.49
_cell_angle_gamma 27.72
_space_group_name_H-M_alt 'P 1'
_space_group_IT_number 1
loop_
_space_group_symop_operation_xyz
'x,y,z'
loop_
_atom_site_label
_atom_site_type_symbol
_atom_site_fract_x
_atom_site_fract_y
_atom_site_fract_z
_atom_site_occupancy
Tb1 Tb 0.1662 0.1662 0.0000 1
Tb2 Tb 0.8338 0.8338 0.0000 1
Mg1 Mg 0.0000 0.0000 0.0000 1
Ti1 Ti 0.4135 0.4135 0.0000 1
Ti2 Ti 0.5865 0.5865 0.0000 1
S1 S 0.2950 0.2950 0.0000 1
S2 S 0.7050 0.7050 0.0000 1
O1 O 0.0973 0.5973 0.5000 1
O2 O 0.4027 0.9027 0.5000 1
O3 O 0.5000 0.5000 0.0000 1
O4 O 0.5973 0.0973 0.5000 1
O5 O 0.9027 0.4027 0.5000 1
```

---

5.
Simulated powder diffractogram of CeB4Ir4 for Cu Kα, from DFT lattice parameters and positions (GGA-PBE).

Main lines, low angle first (2θ from 15° to 90°):
2θ (°)  intensity
27.75  22
34.36  100
36.69  63
40.00  25
47.27  22
64.57  21

```
data_CeB4Ir4
_cell_length_a 7.7462
_cell_length_b 7.7462
_cell_length_c 3.9697
_cell_angle_alpha 90.00
_cell_angle_beta 90.00
_cell_angle_gamma 90.00
_space_group_name_H-M_alt 'P 1'
_space_group_IT_number 1
loop_
_space_group_symop_operation_xyz
'x,y,z'
loop_
_atom_site_label
_atom_site_type_symbol
_atom_site_fract_x
_atom_site_fract_y
_atom_site_fract_z
_atom_site_occupancy
Ce1 Ce 0.2500 0.2500 0.2500 1
Ce2 Ce 0.7500 0.7500 0.7500 1
B1 B 0.0293 0.5914 0.1400 1
B2 B 0.0914 0.9707 0.6400 1
B3 B 0.4086 0.5293 0.6400 1
B4 B 0.4707 0.9086 0.1400 1
B5 B 0.5293 0.0914 0.8600 1
B6 B 0.5914 0.4707 0.3600 1
B7 B 0.9086 0.0293 0.3600 1
B8 B 0.9707 0.4086 0.8600 1
Ir1 Ir 0.0876 0.8579 0.1391 1
Ir2 Ir 0.1421 0.5876 0.6391 1
Ir3 Ir 0.3579 0.9124 0.6391 1
Ir4 Ir 0.4124 0.6421 0.1391 1
Ir5 Ir 0.5876 0.3579 0.8609 1
Ir6 Ir 0.6421 0.0876 0.3609 1
Ir7 Ir 0.8579 0.4124 0.3609 1
Ir8 Ir 0.9124 0.1421 0.8609 1
```

---

6.
Simulated powder diffractogram of AcMg3 for Cu Kα, from DFT lattice parameters and positions (GGA-PBE).

Main lines, low angle first (2θ from 15° to 90°):
2θ (°)  intensity
19.93  95
23.05  51
32.83  100
38.70  55
51.63  25
58.60  39

```
data_AcMg3
_cell_length_a 5.4567
_cell_length_b 5.4567
_cell_length_c 5.4567
_cell_angle_alpha 60.00
_cell_angle_beta 60.00
_cell_angle_gamma 60.00
_space_group_name_H-M_alt 'P 1'
_space_group_IT_number 1
loop_
_space_group_symop_operation_xyz
'x,y,z'
loop_
_atom_site_label
_atom_site_type_symbol
_atom_site_fract_x
_atom_site_fract_y
_atom_site_fract_z
_atom_site_occupancy
Ac1 Ac 0.0000 0.0000 0.0000 1
Mg1 Mg 0.2500 0.2500 0.2500 1
Mg2 Mg 0.5000 0.5000 0.5000 1
Mg3 Mg 0.7500 0.7500 0.7500 1
```